This entry pairs a crystal structure of CaNiF4 with its calculated X-ray diffraction stick pattern. Radiation: Cu Kα (weighted mean of Kα1 and Kα2). Structure: the PBE+U geometry in Alexandria.
No peak broadening, texture or thermal motion is included.

Principal peaks in the range 5 to 70 degrees two-theta, in order of falling intensity:
2θ/deg	I_rel
28.09	100.0
29.92	76.9
48.49	42.7
48.13	38.2
50.60	20.7
45.83	18.6
55.37	17.8
23.53	14.3

Cell and atoms:
```
CaNiF4
1.0
5.7367 -2.6614 0.0000
5.7367 2.6614 0.0000
-2.0718 0.0000 4.9812
Ca Ni F
2 2 8
direct
0.0000 0.0000 0.0000
0.5148 0.4852 0.5000
0.2588 0.2420 0.7498
0.7580 0.7412 0.2502
0.0814 0.7024 0.2424
0.2179 0.5668 0.7428
0.2976 0.9186 0.7576
0.4332 0.7821 0.2572
0.5663 0.1407 0.0968
0.6546 0.0508 0.5963
0.8593 0.4337 0.9032
0.9492 0.3454 0.4037
```